1.
BaH2O2: simulated PXRD pattern (a wavelength of 1.5418 Å), based on the PBE geometry in the Materials Project.

Crystal structure
```
BaH2O2
1.0
6.8911 0.0000 0.0000
0.0000 8.1005 0.0000
-5.9463 0.0000 9.2584
Ba H O
8 16 16
Cartesian
-1.7221 0.2129 3.0262 Ba
-4.6953 3.8374 7.6554 Ba
-1.1761 5.1142 5.5390 Ba
1.7970 7.0365 0.9098 Ba
-0.8522 1.0639 8.3486 Ba
2.1210 2.9863 3.7194 Ba
5.6401 4.2631 1.6030 Ba
2.6670 7.8876 6.2322 Ba
-4.4026 1.3557 9.0244 H
-1.4295 2.6945 4.3952 H
0.6261 1.5481 1.7094 H
-2.3471 2.5022 6.3386 H
0.6758 5.9391 3.6751 H
-2.2973 6.2116 8.3043 H
-0.4567 0.2808 5.7014 H
2.5164 3.7694 1.0722 H
-1.5716 4.3311 8.1862 H
1.4016 7.8196 3.5570 H
3.2422 1.8889 0.9541 H
0.2690 2.1614 5.5833 H
3.2919 5.5983 2.9198 H
0.3188 6.5524 7.5490 H
2.3743 5.4060 4.8632 H
5.3475 6.7448 0.2340 H
0.0900 1.2898 0.9377 O
-2.8831 2.7604 5.5669 O
-3.5715 1.2529 8.4887 O
-0.5984 2.7973 3.8595 O
-2.9140 5.8496 7.6269 O
0.0592 6.3011 2.9977 O
1.7277 4.3453 1.1903 O
-1.2454 7.8055 5.8194 O
2.1903 0.2950 3.4389 O
-0.7829 3.7552 8.0681 O
0.8857 1.7994 6.2607 O
3.8588 2.2509 1.6315 O
1.5432 5.3031 5.3989 O
4.5164 6.8476 0.7697 O
3.8280 5.3401 3.6915 O
0.8548 6.8106 8.3207 O
```

Principal peaks in the range 5° ≤ 2θ ≤ 70°, sorted by position:
2θ = 18.82°, intensity 34; 2θ = 22.12°, intensity 43; 2θ = 24.67°, intensity 76; 2θ = 25.54°, intensity 75; 2θ = 25.99°, intensity 87; 2θ = 26.68°, intensity 100; 2θ = 26.85°, intensity 41; 2θ = 30.54°, intensity 31; 2θ = 34.60°, intensity 47; 2θ = 35.90°, intensity 35; 2θ = 38.89°, intensity 32; 2θ = 47.51°, intensity 40

2.
P4S6O3: simulated PXRD pattern (a wavelength of 1.5418 Å), based on the PBE geometry in the Materials Project.

Crystal structure
```
P4S6O3
1.0
6.9654 0.0000 0.0000
0.0000 13.0031 0.0000
-1.9400 0.0000 7.4767
P S O
8 12 6
Cartesian
0.6233 1.7618 2.4062 P
0.6233 4.7397 2.4062 P
0.2925 9.7523 4.0594 P
0.7480 3.2508 4.9801 P
4.2774 9.7523 2.4965 P
4.7329 3.2508 3.4173 P
4.4021 8.2634 5.0705 P
4.4021 11.2413 5.0705 P
-1.3033 3.2508 5.3461 S
-0.4884 8.0468 5.0958 S
-0.4884 11.4579 5.0958 S
1.5576 0.3545 1.5546 S
1.5576 6.1471 1.5546 S
3.2136 9.7523 0.9303 S
1.8118 3.2508 6.5464 S
3.4677 6.8560 5.9221 S
3.4677 12.6486 5.9221 S
5.5138 1.5452 2.3809 S
5.5138 4.9563 2.3809 S
6.3287 9.7523 2.1306 S
0.9218 3.2508 1.7885 O
1.0249 1.9841 3.9798 O
1.0249 4.5174 3.9798 O
4.0005 8.4857 3.4969 O
4.0005 11.0189 3.4969 O
4.1036 9.7523 5.6882 O
```

Principal peaks in the range 5° ≤ 2θ ≤ 70°, sorted by position:
2θ = 11.84°, intensity 71; 2θ = 13.13°, intensity 21; 2θ = 13.63°, intensity 61; 2θ = 14.80°, intensity 40; 2θ = 16.78°, intensity 32; 2θ = 18.08°, intensity 18; 2θ = 19.82°, intensity 25; 2θ = 20.56°, intensity 40; 2θ = 23.75°, intensity 100; 2θ = 27.03°, intensity 30; 2θ = 29.58°, intensity 23; 2θ = 42.55°, intensity 17

3.
PmY3: simulated PXRD pattern (a wavelength of 1.5418 Å), based on the PBE geometry in the Materials Project.

Crystal structure
```
PmY3
1.0
-2.5428 2.5428 5.0981
2.5428 -2.5428 5.0981
2.5428 2.5428 -5.0981
Pm Y
1 3
Cartesian
0.0000 0.0000 0.0000 Pm
2.5428 0.0000 2.5491 Y
0.0000 0.0000 5.0981 Y
0.0000 2.5428 2.5491 Y
```

Principal peaks in the range 5° ≤ 2θ ≤ 70°, sorted by position:
2θ = 17.39°, intensity 2; 2θ = 19.51°, intensity 5; 2θ = 24.76°, intensity 1; 2θ = 30.42°, intensity 100; 2θ = 31.66°, intensity 2; 2θ = 35.27°, intensity 50; 2θ = 40.64°, intensity 2; 2θ = 48.12°, intensity 2; 2θ = 50.73°, intensity 35; 2θ = 60.23°, intensity 14; 2θ = 60.35°, intensity 27; 2θ = 63.29°, intensity 12

4.
K2LiRuF6: simulated PXRD pattern (a wavelength of 1.5418 Å), based on the PBE geometry in the Materials Project.

Crystal structure
```
K2LiRuF6
1.0
0.0000 4.1035 4.1035
4.1035 0.0000 4.1035
4.1035 4.1035 0.0000
K Li Ru F
2 1 1 6
Cartesian
2.0517 2.0517 2.0517 K
6.1552 6.1552 6.1552 K
0.0000 0.0000 0.0000 Li
4.1035 4.1035 4.1035 Ru
4.1035 4.1035 2.0765 F
4.1035 2.0765 4.1035 F
6.1304 4.1035 4.1035 F
2.0765 4.1035 4.1035 F
4.1035 6.1304 4.1035 F
4.1035 4.1035 6.1304 F
```

Principal peaks in the range 5° ≤ 2θ ≤ 70°, sorted by position:
2θ = 18.73°, intensity 100; 2θ = 21.66°, intensity 23; 2θ = 30.82°, intensity 97; 2θ = 36.31°, intensity 52; 2θ = 37.98°, intensity 13; 2θ = 44.14°, intensity 70; 2θ = 48.34°, intensity 21; 2θ = 49.68°, intensity 10; 2θ = 54.80°, intensity 36; 2θ = 58.43°, intensity 18; 2θ = 64.20°, intensity 39; 2θ = 67.52°, intensity 17

5.
W: simulated PXRD pattern (a wavelength of 1.5418 Å), based on the PBE geometry in the Materials Project.

Crystal structure
```
W
1.0
0.0000 2.0216 2.0216
2.0216 0.0000 2.0216
2.0216 2.0216 0.0000
W
1
Cartesian
0.0000 0.0000 0.0000 W
```

Principal peaks in the range 5° ≤ 2θ ≤ 70°, sorted by position:
2θ = 38.57°, intensity 100; 2θ = 44.83°, intensity 49; 2θ = 65.27°, intensity 33

6.
LiPm2Os: simulated PXRD pattern (a wavelength of 1.5418 Å), based on the PBE geometry in the Materials Project.

Crystal structure
```
LiPm2Os
1.0
0.0000 3.5549 3.5549
3.5549 0.0000 3.5549
3.5549 3.5549 0.0000
Li Pm Os
1 2 1
Cartesian
0.0000 0.0000 0.0000 Li
1.7774 1.7774 1.7774 Pm
5.3323 5.3323 5.3323 Pm
3.5549 3.5549 3.5549 Os
```

Principal peaks in the range 5° ≤ 2θ ≤ 70°, sorted by position:
2θ = 21.65°, intensity 33; 2θ = 25.05°, intensity 6; 2θ = 35.72°, intensity 100; 2θ = 42.15°, intensity 18; 2θ = 44.13°, intensity 2; 2θ = 51.41°, intensity 18; 2θ = 56.41°, intensity 8; 2θ = 58.01°, intensity 2; 2θ = 64.17°, intensity 37; 2θ = 68.59°, intensity 6